Entry 1:
This entry pairs a crystal structure of Al2NiO4 with its computed XRD peak list. Radiation: Cu Kα X-rays. Structure: a GGA+U-relaxed structure.

Principal peaks in the range 2θ from 15° to 90°, in order of rising 2θ:
(hkl)	Position (°2θ)	I (rel.)
1 1 -1	30.80	75
-1 1 1	30.95	74
1 -2 1	31.08	73
0 1 1	36.22	50
1 1 -2	36.41	100
1 -1 2	36.50	77
-2 1 1	36.61	52
0 3 -2	54.97	30
2 0 2	64.17	50
4 -2 0	64.80	49

Structural model:
```
data_Al2NiO4
_chemical_formula_sum 'Al4 Ni2 O8'
_symmetry_space_group_name_H-M 'P 1'
_symmetry_Int_Tables_number 1
_symmetry_space_group_name_Hall 'P 1'
_cell_length_a 5.7545
_cell_length_b 5.7556
_cell_length_c 5.7728
_cell_angle_alpha 119.78
_cell_angle_beta 90.31
_cell_angle_gamma 119.40
loop_
_atom_site_label
_atom_site_type_symbol
_atom_site_fract_x
_atom_site_fract_y
_atom_site_fract_z
_atom_site_occupancy
Al1 Al 0.0000 0.0000 0.0000 1
Al2 Al 0.9998 0.4982 0.4976 1
Al3 Al 0.0011 0.5008 0.9990 1
Al4 Al 0.4993 0.9989 0.9995 1
Ni1 Ni 0.3805 0.2493 0.6278 1
Ni2 Ni 0.6249 0.7508 0.3802 1
O1 O 0.2072 0.4686 0.2315 1
O2 O 0.2296 0.9652 0.7597 1
O3 O 0.2357 0.9710 0.2080 1
O4 O 0.2381 0.5272 0.7615 1
O5 O 0.7601 0.4684 0.2296 1
O6 O 0.7633 0.0264 0.2356 1
O7 O 0.7659 0.0346 0.7968 1
O8 O 0.7963 0.5334 0.7618 1
```

Entry 2:
This entry pairs a crystal structure of NdMn7O12 with its computed XRD peak list. Radiation: Cu Kα X-rays. Structure: a GGA+U-relaxed structure.

Principal peaks in the range 2θ from 15° to 90°, in order of rising 2θ:
(hkl)	Position (°2θ)	I (rel.)
1 1 0	16.57	17
2 1 1	28.91	6
2 2 0	33.50	100
3 1 0	37.60	13
2 2 2	41.34	5
3 2 1	44.83	13
4 0 0	48.11	26
4 2 2	59.90	48
4 4 0	70.40	12
6 0 2	80.25	16

Structural model:
```
data_NdMn7O12
_chemical_formula_sum 'Nd2 Mn14 O24'
_symmetry_space_group_name_H-M 'I m -3'
_symmetry_Int_Tables_number 204
_symmetry_space_group_name_Hall '-I 2 2 3'
_cell_length_a 7.5654
_cell_length_b 7.5654
_cell_length_c 7.5654
_cell_angle_alpha 90.00
_cell_angle_beta 90.00
_cell_angle_gamma 90.00
loop_
_atom_site_label
_atom_site_type_symbol
_atom_site_fract_x
_atom_site_fract_y
_atom_site_fract_z
_atom_site_occupancy
Nd1 Nd 0.0000 0.0000 0.0000 1
Mn1 Mn 0.0000 0.0000 0.5000 1
Mn2 Mn 0.2500 0.2500 0.2500 1
O1 O 0.0000 0.1752 0.3056 1
```

Entry 3:
This entry pairs a crystal structure of LiFe4P3O12 with its computed XRD peak list. Radiation: Cu Kα X-rays. Structure: a GGA+U-relaxed structure.

Principal peaks in the range 2θ from 15° to 90°, in order of rising 2θ:
(hkl)	Position (°2θ)	I (rel.)
1 1 2	20.70	24
1 0 5	27.22	21
2 1 1	29.62	20
2 0 4	32.48	100
2 0 6	39.16	8
3 1 2	42.96	19
3 1 6	51.49	11
4 0 0	53.65	16
2 2 8	54.69	15
4 2 4	64.13	12

Structural model:
```
data_LiFe4P3O12
_chemical_formula_sum 'Li4 Fe16 P12 O48'
_symmetry_space_group_name_H-M 'I -4 2 d'
_symmetry_Int_Tables_number 122
_symmetry_space_group_name_Hall 'I -4 2bw'
_cell_length_a 6.8334
_cell_length_b 6.8334
_cell_length_c 18.6667
_cell_angle_alpha 90.00
_cell_angle_beta 90.00
_cell_angle_gamma 90.00
loop_
_atom_site_label
_atom_site_type_symbol
_atom_site_fract_x
_atom_site_fract_y
_atom_site_fract_z
_atom_site_occupancy
Li1 Li 0.0000 0.0000 0.0000 1
Fe1 Fe 0.0000 0.0000 0.2750 1
Fe2 Fe 0.2399 0.2500 0.6250 1
P1 P 0.0000 0.0000 0.5000 1
P2 P 0.1459 0.7500 0.1250 1
O1 O 0.0020 0.7156 0.0596 1
O2 O 0.0526 0.1887 0.5429 1
O3 O 0.0653 0.2363 0.3539 1
```

Entry 4:
This entry pairs a crystal structure of MgFe4P4O16 with its computed XRD peak list. Radiation: Cu Kα X-rays. Structure: a GGA+U-relaxed structure.

Principal peaks in the range 2θ from 15° to 90°, in order of rising 2θ:
(hkl)	Position (°2θ)	I (rel.)
0 1 2	20.72	83
1 1 0	21.27	100
1 -1 0	21.67	61
0 1 -2	22.36	90
1 -1 1	23.24	40
0 2 -2	32.72	37
1 2 2	34.12	25
2 0 0	34.26	34
0 0 4	34.47	37
3 -1 1	54.88	17

Structural model:
```
data_MgFe4P4O16
_chemical_formula_sum 'Mg1 Fe4 P4 O16'
_symmetry_space_group_name_H-M 'P 1'
_symmetry_Int_Tables_number 1
_symmetry_space_group_name_Hall 'P 1'
_cell_length_a 5.2496
_cell_length_b 6.7806
_cell_length_c 10.4672
_cell_angle_alpha 85.46
_cell_angle_beta 85.79
_cell_angle_gamma 88.59
loop_
_atom_site_label
_atom_site_type_symbol
_atom_site_fract_x
_atom_site_fract_y
_atom_site_fract_z
_atom_site_occupancy
Mg1 Mg 0.0000 0.0000 0.0000 1
Fe1 Fe 0.1810 0.7112 0.2969 1
Fe2 Fe 0.4907 0.3160 0.9923 1
Fe3 Fe 0.6280 0.2272 0.4942 1
Fe4 Fe 0.9938 0.7324 0.7898 1
P1 P 0.1234 0.4881 0.5467 1
P2 P 0.4836 0.0251 0.7740 1
P3 P 0.6841 0.9807 0.2299 1
P4 P 0.9782 0.4925 0.0729 1
O1 O 0.0287 0.6778 0.4668 1
O2 O 0.0596 0.6825 0.9872 1
O3 O 0.0949 0.3016 0.0121 1
O4 O 0.1008 0.4979 0.2041 1
O5 O 0.1343 0.5260 0.6874 1
O6 O 0.2007 0.9861 0.8259 1
O7 O 0.3942 0.4434 0.4829 1
O8 O 0.4959 0.0419 0.6234 1
O9 O 0.5204 0.8013 0.2781 1
O10 O 0.5747 0.2181 0.8217 1
O11 O 0.6330 0.0529 0.0896 1
O12 O 0.6485 0.1409 0.3249 1
O13 O 0.6522 0.8472 0.8194 1
O14 O 0.6877 0.4822 0.0903 1
O15 O 0.9507 0.3115 0.5306 1
O16 O 0.9772 0.9190 0.2123 1
```

Entry 5:
This entry pairs a crystal structure of KCe2FeO6 with its computed XRD peak list. Radiation: Cu Kα X-rays. Structure: a GGA+U-relaxed structure.

Principal peaks in the range 2θ from 15° to 90°, in order of rising 2θ:
(hkl)	Position (°2θ)	I (rel.)
1 1 1	19.72	23
0 2 0	29.81	29
2 1 2	30.15	100
4 0 0	30.95	23
0 0 4	42.83	11
4 2 0	43.52	30
1 2 3	44.87	10
2 3 2	53.11	31
6 1 2	54.56	20
4 2 4	62.70	11

Structural model:
```
data_KCe2FeO6
_chemical_formula_sum 'K4 Ce8 Fe4 O24'
_symmetry_space_group_name_H-M 'P n m a'
_symmetry_Int_Tables_number 62
_symmetry_space_group_name_Hall '-P 2ac 2n'
_cell_length_a 11.5581
_cell_length_b 5.9940
_cell_length_c 8.4459
_cell_angle_alpha 90.00
_cell_angle_beta 90.00
_cell_angle_gamma 90.00
loop_
_atom_site_label
_atom_site_type_symbol
_atom_site_fract_x
_atom_site_fract_y
_atom_site_fract_z
_atom_site_occupancy
K1 K 0.1291 0.2500 0.0192 1
Ce1 Ce 0.1177 0.2500 0.5037 1
Ce2 Ce 0.1405 0.7500 0.7854 1
Fe1 Fe 0.1062 0.7500 0.2641 1
O1 O 0.0308 0.0332 0.7632 1
O2 O 0.0687 0.7500 0.5090 1
O3 O 0.1772 0.7500 0.0516 1
O4 O 0.2015 0.0238 0.3251 1
```

Entry 6:
This entry pairs a crystal structure of LiMn4O8 with its computed XRD peak list. Radiation: Cu Kα X-rays. Structure: a GGA+U-relaxed structure.

Principal peaks in the range 2θ from 15° to 90°, in order of rising 2θ:
(hkl)	Position (°2θ)	I (rel.)
0 0 1	18.00	82
1 1 0	18.34	100
2 0 -1	18.81	48
3 1 0	34.89	16
2 2 -1	36.11	17
0 0 2	36.44	19
4 0 0	42.08	42
2 2 -2	43.85	77
2 2 2	61.24	21
0 4 0	63.56	33

Structural model:
```
data_LiMn4O8
_chemical_formula_sum 'Li2 Mn8 O16'
_symmetry_space_group_name_H-M 'C 1 2/m 1'
_symmetry_Int_Tables_number 12
_symmetry_space_group_name_Hall '-C 2y'
_cell_length_a 10.1598
_cell_length_b 5.8547
_cell_length_c 5.8303
_cell_angle_alpha 90.00
_cell_angle_beta 122.29
_cell_angle_gamma 90.00
loop_
_atom_site_label
_atom_site_type_symbol
_atom_site_fract_x
_atom_site_fract_y
_atom_site_fract_z
_atom_site_occupancy
Li1 Li 0.0000 0.0000 0.0000 1
Mn1 Mn 0.0000 0.5000 0.0000 1
Mn2 Mn 0.0000 0.5000 0.5000 1
Mn3 Mn 0.2500 0.2500 0.0000 1
O1 O 0.0236 0.2773 0.7762 1
O2 O 0.2263 0.5000 0.1999 1
O3 O 0.2376 0.0000 0.2000 1
```